For Ba2LiMn2O6, a cell relaxed with PBE+U gives the computed XRD peak list in this record (Cu Kα, 1.54184 Å).

Cell and atoms:
a = 5.276 Å, b = 5.810 Å, c = 5.810 Å
α = 59.14°, β = 90.00°, γ = 90.00°
Fractional coordinates of all 11 atoms:
Ba (0.000, 0.000, 0.000)
Ba (0.500, 0.353, 0.353)
Li (0.000, 0.325, 0.325)
Mn (0.255, 0.672, 0.672)
Mn (0.745, 0.672, 0.672)
O (0.000, 0.502, 0.502)
O (0.000, 0.511, 0.966)
O (0.000, 0.966, 0.511)
O (0.500, 0.380, 0.828)
O (0.500, 0.828, 0.380)
O (0.500, 0.834, 0.834)

Main lines, by angle (2θ from 15° to 90°):
24.39°, intensity 40
24.56°, intensity 100
30.78°, intensity 80
31.19°, intensity 40
38.50°, intensity 22
38.61°, intensity 31
39.55°, intensity 39
39.99°, intensity 51
50.35°, intensity 34
55.27°, intensity 19